(1)
CaNdBr4: computed powder diffraction line list (Cu Kα (λ = 1.5418 Å)), based on the GGA-PBE geometry in Alexandria.

Crystal structure
Cell: 7.350 7.350 7.350 Å, 132.86 132.86 68.87°
Fractional coordinates of all 6 atoms:
1 Ca 0.000 0.000 0.000
2 Nd 0.250 0.750 0.500
3 Br 0.003 0.503 0.500
4 Br 0.244 0.244 0.000
5 Br 0.497 0.997 0.500
6 Br 0.756 0.756 0.000

Main lines, in order of rising 2θ (15 to 90 degrees two-theta):
- 16.76 deg, rel. 78
- 29.47 deg, rel. 54
- 30.42 deg, rel. 100
- 42.86 deg, rel. 76
- 43.55 deg, rel. 36
- 53.46 deg, rel. 39

(2)
Er2TmZr: computed powder diffraction line list (Cu Kα (λ = 1.5418 Å)), based on the GGA-PBE geometry in Alexandria.

Crystal structure
Cell: 3.407 3.407 9.703 Å, 90.00 90.00 90.00°
Fractional coordinates of all 4 atoms:
1 Er 0.000 0.000 0.234
2 Er 0.000 0.000 0.766
3 Tm 0.500 0.500 0.500
4 Zr 0.500 0.500 0.000

Main lines, in order of rising 2θ (15 to 90 degrees two-theta):
- 32.11 deg, rel. 100
- 37.06 deg, rel. 16
- 37.33 deg, rel. 34
- 53.62 deg, rel. 22
- 53.82 deg, rel. 12
- 64.06 deg, rel. 27

(3)
Ho5B2O6F9: computed powder diffraction line list (Cu Kα (λ = 1.5418 Å)), based on the GGA-PBE geometry in Alexandria.

Crystal structure
Cell: 10.757 10.757 8.284 Å, 100.04 100.04 32.85°
Fractional coordinates of all 44 atoms:
1 Ho 0.074 0.314 0.319
2 Ho 0.105 0.895 0.750
3 Ho 0.282 0.500 0.095
4 Ho 0.314 0.074 0.819
5 Ho 0.500 0.282 0.595
6 Ho 0.500 0.718 0.405
7 Ho 0.686 0.926 0.181
8 Ho 0.718 0.500 0.905
9 Ho 0.895 0.105 0.250
10 Ho 0.926 0.686 0.681
11 B 0.016 0.207 0.562
12 B 0.207 0.016 0.062
13 B 0.793 0.984 0.938
14 B 0.984 0.793 0.438
15 O 0.011 0.803 0.285
16 O 0.098 0.219 0.039
17 O 0.148 0.671 0.566
18 O 0.197 0.989 0.215
19 O 0.219 0.098 0.539
20 O 0.329 0.852 0.934
21 O 0.671 0.148 0.066
22 O 0.781 0.902 0.461
23 O 0.803 0.011 0.785
24 O 0.852 0.329 0.434
25 O 0.902 0.781 0.961
26 O 0.989 0.197 0.715
27 F 0.007 0.445 0.786
28 F 0.149 0.788 0.019
29 F 0.212 0.851 0.481
30 F 0.215 0.365 0.520
31 F 0.295 0.443 0.816
32 F 0.365 0.215 0.020
33 F 0.443 0.295 0.316
34 F 0.445 0.007 0.286
35 F 0.482 0.518 0.750
36 F 0.518 0.482 0.250
37 F 0.555 0.993 0.714
38 F 0.557 0.705 0.684
39 F 0.635 0.785 0.980
40 F 0.705 0.557 0.184
41 F 0.785 0.635 0.480
42 F 0.788 0.149 0.519
43 F 0.851 0.212 0.981
44 F 0.993 0.555 0.214

Main lines, in order of rising 2θ (15 to 90 degrees two-theta):
- 21.99 deg, rel. 39
- 24.99 deg, rel. 38
- 26.40 deg, rel. 100
- 27.02 deg, rel. 52
- 31.39 deg, rel. 62
- 50.71 deg, rel. 58

(4)
KAl2Br: computed powder diffraction line list (Cu Kα (λ = 1.5418 Å)), based on the GGA-PBE geometry in Alexandria.

Crystal structure
Cell: 6.549 6.549 3.368 Å, 90.00 90.00 126.42°
Fractional coordinates of all 4 atoms:
1 K 0.000 0.000 0.000
2 Al 0.000 0.500 0.500
3 Al 0.500 0.000 0.500
4 Br 0.500 0.500 0.000

Main lines, in order of rising 2θ (15 to 90 degrees two-theta):
- 15.15 deg, rel. 27
- 30.62 deg, rel. 100
- 34.02 deg, rel. 50
- 40.64 deg, rel. 30
- 51.70 deg, rel. 28
- 54.42 deg, rel. 18